# 1
Calculated XRD peak list
Compound: HfSc4Ag3
Radiation: Cu Kα X-rays
Structure: DFT lattice parameters and positions (GGA-PBE)
Kinematic intensities with the Lorentz-polarization factor, no thermal factor.

Principal peaks in the range 10 to 90 degrees two-theta, by intensity:
2θ (°), I (rel.)
35.9, 100
38.4, 44
67.8, 29
26.9, 26
23.3, 18
62.8, 15
55.4, 14
45.4, 13
47.7, 9
76.1, 9

Structure:
```
8
Lattice="3.318 0.000 0.000 0.000 3.318 0.000 0.000 0.000 15.241" Properties=species:S:1:pos:R:3 pbc="T T T"
Hf 0.000 0.000 0.000
Sc 1.659 1.659 2.123
Sc 1.659 1.659 5.823
Sc 1.659 1.659 9.418
Sc 1.659 1.659 13.119
Ag 0.000 0.000 4.002
Ag 0.000 0.000 7.621
Ag 0.000 0.000 11.240
```

# 2
Calculated XRD peak list
Compound: HfSc3Ag3Te8
Radiation: Cu Kα X-rays
Structure: DFT lattice parameters and positions (GGA-PBE)
Kinematic intensities with the Lorentz-polarization factor, no thermal factor.

Principal peaks in the range 10 to 90 degrees two-theta, by intensity:
2θ (°), I (rel.)
29.9, 100
42.0, 38
43.5, 35
53.7, 19
13.0, 17
69.3, 11
71.4, 10
62.0, 8
78.8, 8
51.1, 7

Structure:
```
15
Lattice="7.206 -4.163 0.000 7.206 4.163 0.000 -4.820 0.000 7.149" Properties=species:S:1:pos:R:3 pbc="T T T"
Hf 0.000 0.000 0.000
Sc 3.603 2.081 0.000
Sc 3.603 -2.081 0.000
Sc 7.206 0.000 0.000
Ag -2.410 0.000 3.574
Ag 1.193 2.081 3.574
Ag 1.193 -2.081 3.574
Te 2.382 0.000 1.695
Te 6.017 2.100 1.696
Te 3.576 2.100 5.453
Te -0.016 0.000 5.428
Te 9.609 0.000 1.721
Te 6.017 -2.100 1.696
Te 3.576 -2.100 5.453
Te 7.211 0.000 5.454
```

# 3
Calculated XRD peak list
Compound: Hf2ScAg2Te6
Radiation: Cu Kα X-rays
Structure: DFT lattice parameters and positions (GGA-PBE)
Kinematic intensities with the Lorentz-polarization factor, no thermal factor.

Principal peaks in the range 10 to 90 degrees two-theta, by intensity:
2θ (°), I (rel.)
30.1, 100
44.7, 50
30.0, 50
41.3, 41
41.5, 20
54.8, 18
73.4, 15
73.2, 14
16.6, 14
11.9, 13

Structure:
```
11
Lattice="3.510 -6.078 0.000 3.510 6.078 0.000 -2.378 0.000 7.426" Properties=species:S:1:pos:R:3 pbc="T T T"
Hf 3.510 4.052 0.000
Hf 3.510 -4.052 0.000
Sc 3.510 0.000 0.000
Ag 2.321 2.043 3.713
Ag 2.321 -2.043 3.713
Te -0.050 2.055 5.666
Te 1.153 0.000 1.747
Te -0.050 -2.055 5.666
Te 4.691 2.055 1.760
Te 3.488 0.000 5.679
Te 4.691 -2.055 1.760
```

# 4
Calculated XRD peak list
Compound: Sm3HfAg3Se8
Radiation: Cu Kα X-rays
Structure: DFT lattice parameters and positions (GGA-PBE)
Kinematic intensities with the Lorentz-polarization factor, no thermal factor.

Principal peaks in the range 10 to 90 degrees two-theta, by intensity:
2θ (°), I (rel.)
30.7, 100
43.3, 37
44.5, 23
54.0, 13
44.4, 12
13.0, 11
71.6, 10
13.5, 10
63.8, 8
26.2, 7

Structure:
```
15
Lattice="6.987 -4.178 0.000 6.987 4.178 0.000 -4.520 0.000 6.801" Properties=species:S:1:pos:R:3 pbc="T T T"
Sm 0.000 0.000 0.000
Sm 1.234 2.089 3.401
Sm 1.234 -2.089 3.401
Hf 6.987 0.000 0.000
Ag 3.494 2.089 0.000
Ag 3.494 -2.089 0.000
Ag 4.727 0.000 3.401
Se 2.375 0.000 1.703
Se 0.249 0.000 5.221
Se 5.915 1.941 1.581
Se 3.540 1.941 5.220
Se 5.915 -1.941 1.581
Se 3.540 -1.941 5.220
Se 9.206 0.000 1.580
Se 7.079 0.000 5.098
```

# 5
Calculated XRD peak list
Compound: HfAg3Sn
Radiation: Cu Kα X-rays
Structure: DFT lattice parameters and positions (GGA-PBE)
Kinematic intensities with the Lorentz-polarization factor, no thermal factor.

Principal peaks in the range 10 to 90 degrees two-theta, by intensity:
2θ (°), I (rel.)
35.7, 100
30.8, 76
51.3, 70
25.0, 41
86.4, 32
61.0, 30
64.1, 24
44.1, 19
83.7, 12
75.5, 11

Structure:
```
5
Lattice="5.035 0.000 0.000 0.000 5.035 0.000 0.000 0.000 5.035" Properties=species:S:1:pos:R:3 pbc="T T T"
Hf 0.000 0.000 0.000
Ag 0.000 2.517 2.517
Ag 2.517 0.000 2.517
Ag 2.517 2.517 0.000
Sn 2.517 2.517 2.517
```

# 6
Calculated XRD peak list
Compound: SrHf3Ag
Radiation: Cu Kα X-rays
Structure: DFT lattice parameters and positions (GGA-PBE)
Kinematic intensities with the Lorentz-polarization factor, no thermal factor.

Principal peaks in the range 10 to 90 degrees two-theta, by intensity:
2θ (°), I (rel.)
34.1, 100
29.4, 93
49.0, 72
58.2, 42
16.9, 42
81.9, 33
61.0, 25
38.3, 22
79.4, 17
71.8, 11

Structure:
```
5
Lattice="5.259 0.000 0.000 0.000 5.259 0.000 0.000 0.000 5.259" Properties=species:S:1:pos:R:3 pbc="T T T"
Sr 0.000 0.000 0.000
Hf 0.000 2.629 2.629
Hf 2.629 0.000 2.629
Hf 2.629 2.629 0.000
Ag 2.629 2.629 2.629
```

# 7
Calculated XRD peak list
Compound: Sr2HfAg2
Radiation: Cu Kα X-rays
Structure: DFT lattice parameters and positions (GGA-PBE)
Kinematic intensities with the Lorentz-polarization factor, no thermal factor.

Principal peaks in the range 10 to 90 degrees two-theta, by intensity:
2θ (°), I (rel.)
31.8, 100
37.8, 51
29.4, 44
52.4, 39
35.0, 37
17.3, 32
41.8, 26
60.7, 15
24.1, 15
33.6, 14

Structure:
```
10
Lattice="7.536 0.000 0.000 0.000 7.536 0.000 0.000 0.000 5.129" Properties=species:S:1:pos:R:3 pbc="T T T"
Sr 1.322 2.445 0.000
Sr 2.445 6.213 0.000
Sr 5.090 1.322 0.000
Sr 6.213 5.090 0.000
Hf 0.000 0.000 2.565
Hf 3.768 3.768 2.565
Ag 1.020 4.788 2.565
Ag 2.748 1.020 2.565
Ag 4.788 6.516 2.565
Ag 6.516 2.748 2.565
```

# 8
Calculated XRD peak list
Compound: Hf2Ag2Te7
Radiation: Cu Kα X-rays
Structure: DFT lattice parameters and positions (GGA-PBE)
Kinematic intensities with the Lorentz-polarization factor, no thermal factor.

Principal peaks in the range 10 to 90 degrees two-theta, by intensity:
2θ (°), I (rel.)
32.9, 100
30.3, 42
38.8, 37
38.2, 34
45.9, 28
41.2, 25
28.7, 24
34.1, 24
33.5, 21
27.8, 21

Structure:
```
11
Lattice="-1.977 8.251 4.586 1.977 -8.251 4.586 1.977 8.251 -4.586" Properties=species:S:1:pos:R:3 pbc="T T T"
Hf 0.000 0.000 0.000
Hf 0.000 8.251 0.412
Ag 1.977 4.224 -2.346
Ag 0.000 4.026 2.241
Te 1.977 2.009 0.507
Te 1.977 -2.947 4.111
Te 0.000 0.000 2.936
Te 1.977 6.649 1.996
Te 1.977 2.947 4.111
Te 0.000 1.601 6.583
Te 0.000 6.242 5.094
```

# 9
Calculated XRD peak list
Compound: HfTiAg
Radiation: Cu Kα X-rays
Structure: DFT lattice parameters and positions (GGA-PBE)
Kinematic intensities with the Lorentz-polarization factor, no thermal factor.

Principal peaks in the range 10 to 90 degrees two-theta, by intensity:
2θ (°), I (rel.)
38.8, 100
36.5, 60
67.2, 38
27.3, 23
52.5, 21
71.7, 15
83.2, 10
88.8, 9
19.0, 9
32.0, 7

Structure:
```
6
Lattice="3.484 0.000 0.000 0.000 3.484 0.000 0.000 0.000 9.347" Properties=species:S:1:pos:R:3 pbc="T T T"
Hf 0.871 0.871 2.321
Hf 2.613 2.613 7.027
Ti 0.871 0.871 8.747
Ti 2.613 2.613 0.600
Ag 0.871 0.871 5.441
Ag 2.613 2.613 3.906
```

# 10
Calculated XRD peak list
Compound: HfVAg
Radiation: Cu Kα X-rays
Structure: DFT lattice parameters and positions (GGA-PBE)
Kinematic intensities with the Lorentz-polarization factor, no thermal factor.

Principal peaks in the range 10 to 90 degrees two-theta, by intensity:
2θ (°), I (rel.)
38.8, 100
38.4, 97
38.5, 51
38.9, 40
30.5, 32
14.0, 23
69.9, 22
35.0, 19
55.5, 18
69.5, 17

Structure:
```
6
Lattice="5.140 -1.657 0.000 5.140 1.657 0.000 -2.076 0.000 6.319" Properties=species:S:1:pos:R:3 pbc="T T T"
Hf 0.000 0.000 0.000
Hf 5.271 0.000 5.086
V 2.341 0.000 4.231
V 8.972 0.000 3.357
Ag 2.967 0.000 1.179
Ag 6.041 0.000 2.291
```

# 11
Calculated XRD peak list
Compound: HfVAg
Radiation: Cu Kα X-rays
Structure: DFT lattice parameters and positions (GGA-PBE)
Kinematic intensities with the Lorentz-polarization factor, no thermal factor.

Principal peaks in the range 10 to 90 degrees two-theta, by intensity:
2θ (°), I (rel.)
35.7, 100
34.6, 71
43.5, 30
38.2, 25
35.2, 25
42.1, 22
40.8, 21
68.1, 16
59.2, 14
76.6, 13

Structure:
```
6
Lattice="-2.081 3.761 3.474 2.081 -3.761 3.474 2.081 3.761 -3.474" Properties=species:S:1:pos:R:3 pbc="T T T"
Hf 1.041 1.395 0.000
Hf 1.041 2.366 3.474
V 1.041 -0.379 4.723
V 1.041 4.139 1.249
Ag 1.041 -0.857 2.056
Ag 1.041 4.618 -1.418
```

# 12
Calculated XRD peak list
Compound: YHfAg2
Radiation: Cu Kα X-rays
Structure: DFT lattice parameters and positions (GGA-PBE)
Kinematic intensities with the Lorentz-polarization factor, no thermal factor.

Principal peaks in the range 10 to 90 degrees two-theta, by intensity:
2θ (°), I (rel.)
36.0, 100
64.7, 35
51.8, 17
87.4, 16
76.4, 11
21.8, 7
42.5, 4
56.9, 2
80.5, 1
69.2, 1

Structure:
```
4
Lattice="0.000 3.528 3.528 3.528 0.000 3.528 3.528 3.528 0.000" Properties=species:S:1:pos:R:3 pbc="T T T"
Y 0.000 0.000 0.000
Hf 3.528 3.528 3.528
Ag 1.764 1.764 1.764
Ag 5.291 5.291 5.291
```